Structure and computed powder diffractogram of Tm8CS3 (DFT lattice parameters and positions (GGA-PBE); Cu Kα).

Peak list (12 most intense, 10 to 90 degrees two-theta, sorted by position)
| h k l | 2θ (°) | intensity |
| --- | --- | --- |
| 2 0 2 | 29.53 | 1000 |
| 0 0 6 | 29.92 | 342 |
| 0 2 4 | 34.34 | 949 |
| 2 2 0 | 49.10 | 311 |
| 2 0 8 | 49.61 | 333 |
| 0 4 2 | 58.34 | 126 |
| 2 2 6 | 58.57 | 265 |
| 0 2 10 | 59.02 | 145 |
| 4 0 4 | 61.29 | 151 |
| 0 4 8 | 72.38 | 92 |
| 2 4 4 | 82.23 | 113 |
| 2 2 12 | 83.01 | 135 |

Structure:
Lattice parameters (Å, degrees): 7.4220 7.4220 17.9187 90.00 90.00 120.00
Space group R-3m (No. 166, hexagonal axes)
Symmetry-distinct sites (fractional):
Tm 0.0000 0.0000 0.2465 (multiplicity 6)
Tm 0.0308 0.5154 0.7496 (multiplicity 18)
C 0.0000 0.0000 0.0000 (multiplicity 3)
S 0.0000 0.5000 0.0000 (multiplicity 9)

=====

Structure and computed powder diffractogram of Ac2Zn4Ag3Au (DFT lattice parameters and positions (GGA-PBE); Cu Kα).

Peak list (12 most intense, 10 to 90 degrees two-theta, sorted by position)
| h k l | 2θ (°) | intensity |
| --- | --- | --- |
| 1 0 1 | 21.40 | 108 |
| 1 1 0 | 28.24 | 105 |
| 1 0 3 | 31.16 | 576 |
| 1 1 2 | 32.51 | 1000 |
| 2 0 0 | 40.37 | 513 |
| 1 0 5 | 45.16 | 269 |
| 2 1 3 | 51.85 | 278 |
| 1 1 6 | 57.18 | 148 |
| 2 2 0 | 58.41 | 171 |
| 2 1 5 | 62.16 | 206 |
| 3 1 2 | 68.46 | 233 |
| 2 0 8 | 80.83 | 128 |

Structure:
Lattice parameters (Å, degrees): 4.4688 4.4688 11.2361 90.00 90.00 90.00
Space group P-4m2 (No. 115)
Symmetry-distinct sites (fractional):
Ac 0.0000 0.5000 0.2489 (multiplicity 2)
Zn 0.0000 0.0000 0.5000 (multiplicity 1)
Zn 0.0000 0.5000 0.8698 (multiplicity 2)
Zn 0.5000 0.5000 0.5000 (multiplicity 1)
Ag 0.0000 0.0000 0.0000 (multiplicity 1)
Ag 0.0000 0.5000 0.6339 (multiplicity 2)
Au 0.5000 0.5000 0.0000 (multiplicity 1)